This entry pairs a crystal structure of Eu2HfSnO6 with its computed powder X-ray diffraction pattern. Radiation: a wavelength of 1.5418 Å. Structure: a PBE-relaxed structure.
Lines closer than 0.1° are merged.

Structure:
```
data_Eu2HfSnO6
_cell_length_a 5.8242
_cell_length_b 5.8242
_cell_length_c 5.8242
_cell_angle_alpha 60.00
_cell_angle_beta 60.00
_cell_angle_gamma 60.00
_space_group_name_H-M_alt 'P 1'
_space_group_IT_number 1
loop_
_space_group_symop_operation_xyz
'x,y,z'
loop_
_atom_site_label
_atom_site_fract_x
_atom_site_fract_y
_atom_site_fract_z
_atom_site_occupancy
Eu1 0.2500 0.2500 0.2500 1
Eu2 0.7500 0.7500 0.7500 1
Hf1 0.0000 0.0000 0.0000 1
Sn1 0.5000 0.5000 0.5000 1
O1 0.2501 0.2501 0.7499 1
O2 0.2501 0.7499 0.2501 1
O3 0.2501 0.7499 0.7499 1
O4 0.7499 0.2501 0.2501 1
O5 0.7499 0.2501 0.7499 1
O6 0.7499 0.7499 0.2501 1
```

Top 10 peaks for 15° ≤ 2θ ≤ 90°, low angle first:
2θ/deg, intensity
18.7, 2
30.7, 100
36.2, 1
37.8, 1
44.0, 28
54.6, 41
63.9, 18
72.6, 18
80.9, 6
88.9, 23